[1]
For ZnBr, a DFT-relaxed cell (GGA-PBE, Alexandria) gives the simulated powder XRD pattern in this record (Cu Kα (λ = 1.5418 Å)).

Most intense lines, 10° ≤ 2θ ≤ 90°, by angle:
- 2θ 16.28, I 100
- 2θ 24.98, I 44
- 2θ 29.78, I 22
- 2θ 31.28, I 56
- 2θ 32.90, I 29
- 2θ 35.46, I 30
- 2θ 38.02, I 27
- 2θ 42.75, I 56
- 2θ 46.03, I 25
- 2θ 48.25, I 35
- 2θ 49.14, I 20
- 2θ 72.65, I 20

Atomic structure:
```
12
Lattice="10.8904 0.0000 0.0000 -5.4452 9.4314 0.0000 0.0000 0.0000 3.5955" Properties=species:S:1:pos:R:3 pbc="T T T"
Zn -2.9822 5.6548 0.8989
Zn 2.0391 4.0213 0.8989
Zn 4.5021 0.2448 2.6967
Zn 0.9431 9.1866 0.8989
Zn 3.4061 5.4101 2.6967
Zn 8.4274 3.7765 2.6967
Br -2.4241 7.4902 2.6967
Br 0.1705 3.5870 2.6967
Br 3.1917 1.6458 0.8989
Br 2.2535 7.7856 2.6967
Br 5.2747 5.8444 0.8989
Br 7.8693 1.9412 0.8989
```

=====

[2]
For ZrZnBr, a DFT-relaxed cell (GGA-PBE, Alexandria) gives the simulated powder XRD pattern in this record (Cu Kα (λ = 1.5418 Å)).

Most intense lines, 10° ≤ 2θ ≤ 90°, by angle:
- 2θ 12.25, I 31
- 2θ 32.81, I 100
- 2θ 37.33, I 11
- 2θ 39.45, I 62
- 2θ 48.82, I 19
- 2θ 53.86, I 25
- 2θ 64.51, I 13
- 2θ 67.36, I 11
- 2θ 68.78, I 11
- 2θ 72.89, I 10
- 2θ 76.96, I 13
- 2θ 88.85, I 12

Atomic structure:
```
3
Lattice="3.4045 0.0000 0.0000 -1.7023 2.9484 0.0000 0.0000 0.0000 7.2262" Properties=species:S:1:pos:R:3 pbc="T T T"
Zr 0.0000 0.0000 0.0000
Zn 0.0000 1.9656 5.1602
Br 1.7023 0.9828 1.9286
```

=====

[3]
For ZrBr4, a DFT-relaxed cell (GGA-PBE, Alexandria) gives the simulated powder XRD pattern in this record (Cu Kα (λ = 1.5418 Å)).

Most intense lines, 10° ≤ 2θ ≤ 90°, by angle:
- 2θ 15.85, I 32
- 2θ 17.38, I 36
- 2θ 24.67, I 100
- 2θ 28.56, I 25
- 2θ 36.65, I 7
- 2θ 40.83, I 56
- 2θ 48.29, I 36
- 2θ 49.45, I 10
- 2θ 59.12, I 8
- 2θ 65.04, I 12
- 2θ 74.35, I 12
- 2θ 79.71, I 7

Atomic structure:
```
40
Lattice="12.5012 0.0000 0.0000 0.0000 12.5012 0.0000 0.0000 0.0000 12.5012" Properties=species:S:1:pos:R:3 pbc="T T T"
Zr 1.6637 1.6637 1.6637
Zr 1.6637 4.5869 7.9143
Zr 4.5869 7.9143 1.6637
Zr 4.5869 10.8375 7.9143
Zr 7.9143 1.6637 4.5869
Zr 7.9143 4.5869 10.8375
Zr 10.8375 7.9143 4.5869
Zr 10.8375 10.8375 10.8375
Br 0.1417 3.0909 0.3074
Br 0.1417 3.1597 6.5580
Br 0.3074 0.1417 3.0909
Br 0.3074 6.1090 9.3415
Br 3.0909 0.3074 0.1417
Br 3.0909 5.9433 6.3923
Br 3.0995 3.0995 3.0995
Br 3.0995 3.1511 9.3501
Br 3.1511 9.3501 3.0995
Br 3.1511 9.4017 9.3501
Br 3.1597 6.5580 0.1417
Br 3.1597 12.1939 6.3923
Br 5.9433 6.3923 3.0909
Br 5.9433 12.3596 9.3415
Br 6.1090 9.3415 0.3074
Br 6.1090 9.4103 6.5580
Br 6.3923 3.0909 5.9433
Br 6.3923 3.1597 12.1939
Br 6.5580 0.1417 3.1597
Br 6.5580 6.1090 9.4103
Br 9.3415 0.3074 6.1090
Br 9.3415 5.9433 12.3596
Br 9.3501 3.0995 3.1511
Br 9.3501 3.1511 9.4017
Br 9.4017 9.3501 3.1511
Br 9.4017 9.4017 9.4017
Br 9.4103 6.5580 6.1090
Br 9.4103 12.1939 12.3596
Br 12.1939 6.3923 3.1597
Br 12.1939 12.3596 9.4103
Br 12.3596 9.3415 5.9433
Br 12.3596 9.4103 12.1939
```

=====

[4]
For Zr7Br6, a DFT-relaxed cell (GGA-PBE, Alexandria) gives the simulated powder XRD pattern in this record (Cu Kα (λ = 1.5418 Å)).

Most intense lines, 10° ≤ 2θ ≤ 90°, by angle:
- 2θ 14.74, I 100
- 2θ 24.59, I 51
- 2θ 29.73, I 57
- 2θ 30.42, I 55
- 2θ 33.96, I 52
- 2θ 35.36, I 52
- 2θ 36.70, I 57
- 2θ 37.46, I 86
- 2θ 39.50, I 98
- 2θ 43.53, I 41
- 2θ 45.10, I 93
- 2θ 63.30, I 52

Atomic structure:
```
13
Lattice="2.9385 1.6965 12.0191 -2.9385 1.6965 12.0191 0.0000 -3.3930 12.0191" Properties=species:S:1:pos:R:3 pbc="T T T"
Zr 0.0000 0.0000 0.0000
Zr 0.0000 -1.7128 9.3090
Zr -1.4834 0.8564 9.3090
Zr -1.4834 -0.8564 26.7484
Zr 1.4834 0.8564 9.3090
Zr 1.4834 -0.8564 26.7484
Zr 0.0000 1.7128 26.7484
Br 0.0000 0.0000 4.9488
Br 0.0000 0.0000 11.5061
Br 0.0000 0.0000 15.1224
Br 0.0000 0.0000 20.9350
Br 0.0000 0.0000 24.5513
Br 0.0000 0.0000 31.1085
```

=====

[5]
For Zr4Br5, a DFT-relaxed cell (GGA-PBE, Alexandria) gives the simulated powder XRD pattern in this record (Cu Kα (λ = 1.5418 Å)).

Most intense lines, 10° ≤ 2θ ≤ 90°, by angle:
- 2θ 14.08, I 3
- 2θ 33.04, I 30
- 2θ 34.48, I 100
- 2θ 43.15, I 25
- 2θ 45.24, I 2
- 2θ 55.40, I 23
- 2θ 59.94, I 19
- 2θ 62.67, I 7
- 2θ 69.32, I 3
- 2θ 72.69, I 9
- 2θ 73.53, I 17
- 2θ 85.25, I 7

Atomic structure:
```
9
Lattice="-4.4474 4.4474 2.7113 4.4474 -4.4474 2.7113 4.4474 4.4474 -2.7113" Properties=species:S:1:pos:R:3 pbc="T T T"
Zr 3.0086 0.0000 0.0000
Zr 5.8863 0.0000 0.0000
Zr 0.0000 3.0086 0.0000
Zr 0.0000 5.8863 0.0000
Br 0.0000 0.0000 0.0000
Br 2.7974 2.7974 0.0000
Br 1.6501 -1.6501 2.7113
Br -1.6501 1.6501 2.7113
Br 1.6501 1.6501 2.7113
```

=====

[6]
For C, a DFT-relaxed cell (GGA-PBE, Alexandria) gives the simulated powder XRD pattern in this record (Cu Kα (λ = 1.5418 Å)).

Most intense lines, 10° ≤ 2θ ≤ 90°, by angle:
- 2θ 21.20, I 100
- 2θ 42.54, I 2
- 2θ 43.16, I 11
- 2θ 43.22, I 2
- 2θ 44.27, I 2
- 2θ 44.44, I 2
- 2θ 45.75, I 2
- 2θ 50.17, I 1
- 2θ 52.36, I 1
- 2θ 52.70, I 1
- 2θ 66.98, I 2
- 2θ 77.45, I 2

Atomic structure:
```
2
Lattice="2.4682 0.0000 0.0000 -1.2339 2.1376 0.0000 -0.9942 -0.8161 4.1913" Properties=species:S:1:pos:R:3 pbc="T T T"
C 0.0000 0.7125 0.0002
C 0.2400 0.6090 4.1912
```

=====

[7]
For C, a DFT-relaxed cell (GGA-PBE, Alexandria) gives the simulated powder XRD pattern in this record (Cu Kα (λ = 1.5418 Å)).

Most intense lines, 10° ≤ 2θ ≤ 90°, by angle:
- 2θ 20.79, I 100
- 2θ 42.33, I 14
- 2θ 42.63, I 2
- 2θ 45.30, I 2
- 2θ 46.36, I 3
- 2θ 48.91, I 3
- 2θ 65.55, I 2
- 2θ 77.87, I 2
- 2θ 78.79, I 2
- 2θ 81.12, I 2
- 2θ 84.51, I 1
- 2θ 87.23, I 1

Atomic structure:
```
2
Lattice="2.1375 -1.2340 0.0000 2.1375 1.2340 0.0000 -0.5395 0.0000 4.2720" Properties=species:S:1:pos:R:3 pbc="T T T"
C 0.7125 0.0000 0.0001
C 3.0230 0.0000 4.2719
```

=====

[8]
For CaC12, a DFT-relaxed cell (GGA-PBE, Alexandria) gives the simulated powder XRD pattern in this record (Cu Kα (λ = 1.5418 Å)).

Most intense lines, 10° ≤ 2θ ≤ 90°, by angle:
- 2θ 18.10, I 64
- 2θ 19.56, I 40
- 2θ 26.78, I 24
- 2θ 33.11, I 100
- 2θ 36.68, I 31
- 2θ 39.73, I 22
- 2θ 40.21, I 29
- 2θ 41.91, I 25
- 2θ 45.09, I 42
- 2θ 46.88, I 27
- 2θ 73.09, I 18
- 2θ 75.09, I 19

Atomic structure:
```
13
Lattice="3.3707 -3.5672 0.0000 3.3707 3.5672 0.0000 0.0000 0.0000 4.5379" Properties=species:S:1:pos:R:3 pbc="T T T"
Ca 0.0000 0.0000 0.0000
C 1.6853 1.7836 1.1334
C 1.6853 1.7836 3.4044
C 1.5420 0.6881 2.2689
C 2.6653 1.3882 0.0000
C 1.5420 -0.6881 2.2689
C 4.0761 1.3882 0.0000
C 1.6853 -1.7836 1.1334
C 1.6853 -1.7836 3.4044
C 2.6653 -1.3882 0.0000
C 5.1993 0.6881 2.2689
C 4.0761 -1.3882 0.0000
C 5.1993 -0.6881 2.2689
```

=====

[9]
For Ca5C7, a DFT-relaxed cell (GGA-PBE, Alexandria) gives the simulated powder XRD pattern in this record (Cu Kα (λ = 1.5418 Å)).

Most intense lines, 10° ≤ 2θ ≤ 90°, by angle:
- 2θ 17.72, I 16
- 2θ 23.45, I 19
- 2θ 26.77, I 24
- 2θ 29.55, I 26
- 2θ 33.41, I 58
- 2θ 35.89, I 100
- 2θ 38.06, I 47
- 2θ 43.32, I 32
- 2θ 47.97, I 21
- 2θ 60.76, I 16
- 2θ 62.82, I 15
- 2θ 68.02, I 16

Atomic structure:
```
12
Lattice="-3.7931 3.7931 3.3297 3.7931 -3.7931 3.3297 3.7931 3.7931 -3.3297" Properties=species:S:1:pos:R:3 pbc="T T T"
Ca 0.0000 0.0000 0.0000
Ca 2.1480 2.1480 0.7954
Ca 1.6451 -1.6451 4.1251
Ca -1.6451 1.6451 4.1251
Ca 1.6451 1.6451 4.1251
C 3.7931 -1.3360 2.6938
C 3.7931 0.0000 2.6808
C 0.0000 0.0000 2.8334
C 3.7931 1.3360 2.6938
C 0.0000 3.7931 2.6808
C -1.3360 3.7931 2.6938
C 1.3360 3.7931 2.6938
```

=====

[10]
For Ca8C, a DFT-relaxed cell (GGA-PBE, Alexandria) gives the simulated powder XRD pattern in this record (Cu Kα (λ = 1.5418 Å)).

Most intense lines, 10° ≤ 2θ ≤ 90°, by angle:
- 2θ 13.24, I 38
- 2θ 24.87, I 14
- 2θ 26.66, I 13
- 2θ 28.30, I 78
- 2θ 29.88, I 15
- 2θ 31.34, I 100
- 2θ 34.18, I 47
- 2θ 39.28, I 13
- 2θ 41.60, I 26
- 2θ 49.06, I 15
- 2θ 50.10, I 32
- 2θ 61.16, I 24

Atomic structure:
```
9
Lattice="-6.6873 6.6873 1.8577 6.6873 -6.6873 1.8577 6.6873 6.6873 -1.8577" Properties=species:S:1:pos:R:3 pbc="T T T"
Ca 4.4620 0.0000 0.0000
Ca 8.9126 0.0000 0.0000
Ca 0.0000 4.4620 0.0000
Ca 5.1677 5.1677 0.0000
Ca 1.5196 -1.5196 1.8577
Ca -1.5196 1.5196 1.8577
Ca 1.5196 1.5196 1.8577
Ca 0.0000 8.9126 0.0000
C 0.0000 0.0000 0.0000
```

=====

[11]
For Ca3C5, a DFT-relaxed cell (GGA-PBE, Alexandria) gives the simulated powder XRD pattern in this record (Cu Kα (λ = 1.5418 Å)).

Most intense lines, 10° ≤ 2θ ≤ 90°, by angle:
- 2θ 29.39, I 100
- 2θ 32.63, I 13
- 2θ 33.45, I 31
- 2θ 37.22, I 10
- 2θ 40.99, I 18
- 2θ 41.67, I 6
- 2θ 42.41, I 16
- 2θ 42.49, I 8
- 2θ 50.91, I 9
- 2θ 52.43, I 9
- 2θ 55.08, I 14
- 2θ 57.32, I 13

Atomic structure:
```
16
Lattice="7.3707 0.0000 0.0000 0.0000 5.3575 0.0000 -3.6754 0.0000 6.3971" Properties=species:S:1:pos:R:3 pbc="T T T"
Ca -1.0634 1.3394 2.4325
Ca -1.0357 1.3394 6.1049
Ca 1.5777 4.0181 2.1424
Ca 2.1176 1.3394 4.2548
Ca 4.7310 4.0181 0.2923
Ca 4.7587 4.0181 3.9646
C -0.3513 4.0181 0.7544
C -2.8466 4.0181 6.3295
C 0.4729 1.3394 0.6779
C 0.0111 3.3647 4.2648
C 0.0111 4.6716 4.2648
C 3.6842 0.6860 2.1323
C 3.6842 1.9928 2.1323
C 3.2224 4.0181 5.7192
C 6.5419 1.3394 0.0676
C 4.0466 1.3394 5.6427
```

=====

[12]
For CaC2, a DFT-relaxed cell (GGA-PBE, Alexandria) gives the simulated powder XRD pattern in this record (Cu Kα (λ = 1.5418 Å)).

Most intense lines, 10° ≤ 2θ ≤ 90°, by angle:
- 2θ 24.63, I 34
- 2θ 28.84, I 13
- 2θ 29.81, I 100
- 2θ 33.43, I 44
- 2θ 36.74, I 14
- 2θ 45.39, I 53
- 2θ 47.36, I 28
- 2θ 47.99, I 13
- 2θ 54.67, I 12
- 2θ 59.75, I 12
- 2θ 78.11, I 13
- 2θ 79.57, I 13

Atomic structure:
```
3
Lattice="-1.8958 2.4462 2.6806 1.8958 -2.4462 2.6806 1.8958 2.4462 -2.6806" Properties=species:S:1:pos:R:3 pbc="T T T"
Ca 0.0000 0.0000 0.0000
C 1.8958 1.8168 0.0000
C 0.0000 0.6295 2.6806
```

=====

[13]
For Ca3C3Cl2, a DFT-relaxed cell (GGA-PBE, Alexandria) gives the simulated powder XRD pattern in this record (Cu Kα (λ = 1.5418 Å)).

Most intense lines, 10° ≤ 2θ ≤ 90°, by angle:
- 2θ 25.21, I 11
- 2θ 26.62, I 43
- 2θ 30.50, I 15
- 2θ 30.93, I 17
- 2θ 31.49, I 38
- 2θ 33.72, I 14
- 2θ 34.30, I 100
- 2θ 35.32, I 10
- 2θ 43.78, I 13
- 2θ 46.26, I 21
- 2θ 47.12, I 25
- 2θ 54.92, I 14

Atomic structure:
```
16
Lattice="1.9292 -6.7589 0.0000 1.9292 6.7589 0.0000 0.0000 0.0000 11.5639" Properties=species:S:1:pos:R:3 pbc="T T T"
Ca 1.9292 5.1195 8.6729
Ca 1.9292 2.1193 6.4853
Ca 1.9292 2.1193 10.8606
Ca 1.9292 -2.1193 0.7033
Ca 1.9292 -2.1193 5.0786
Ca 1.9292 -5.1195 2.8910
C 1.9292 3.2743 2.8910
C 1.9292 3.1466 1.5627
C 1.9292 3.1466 4.2193
C 1.9292 -3.1466 7.3447
C 1.9292 -3.1466 10.0012
C 1.9292 -3.2743 8.6729
Cl 0.0000 0.0000 0.0000
Cl 0.0000 0.0000 5.7820
Cl 1.9292 0.3913 8.6729
Cl 1.9292 -0.3913 2.8910
```